The following is a computed X-ray powder pattern of VNi15Sn4. It was derived from a GGA-PBE-relaxed structure, using Cu Kα.
Intensities are scaled so that the largest is 100.

Structure:
abc: 3.706 3.706 18.410
angles: 90.00 90.00 90.00
Space group P4/mmm (No. 123)
Symmetry-distinct sites (fractional):
V (0.000, 0.000, 0.000) (multiplicity 1)
Ni (0.000, 0.500, 0.090) (multiplicity 4)
Ni (0.000, 0.500, 0.296) (multiplicity 4)
Ni (0.000, 0.500, 0.500) (multiplicity 2)
Ni (0.500, 0.500, 0.000) (multiplicity 1)
Ni (0.500, 0.500, 0.193) (multiplicity 2)
Ni (0.500, 0.500, 0.398) (multiplicity 2)
Sn (0.000, 0.000, 0.195) (multiplicity 2)
Sn (0.000, 0.000, 0.398) (multiplicity 2)

The 10 most intense peaks (2θ = 15–90°), in order of falling intensity:
2θ/deg	Rel. int.	h k l
42.33	100	1 1 5
49.17	33	2 0 0
87.32	24	3 1 5
72.36	18	2 0 10
49.51	14	0 0 10
72.09	10	2 2 0
87.83	9	1 1 15
24.01	4	1 0 0
34.33	4	1 0 5
39.58	2	1 1 4